Entry 1:
Diffraction record for Rb4RhO4. The powder XRD pattern is calculated, not measured: it uses a DFT-relaxed cell (GGA-PBE, Alexandria) and λ = 1.5418 Å (Cu Kα).
Intensities are scaled so that the largest is 100.

Crystal structure
```
9
Lattice="-4.211 4.211 2.830 4.211 -4.211 2.830 4.211 4.211 -2.830" Properties=species:S:1:pos:R:3 pbc="T T T"
Rb 2.465 0.893 0.000
Rb 3.318 -1.746 2.830
Rb 0.893 5.957 0.000
Rb 1.746 3.318 2.830
Rh 0.000 0.000 2.830
O 4.776 2.342 0.000
O 2.342 3.646 0.000
O 1.869 0.565 2.830
O -0.565 1.869 2.830
```

Most intense lines, 5 to 70 degrees two-theta, low angle first:
2θ/deg  I (rel.)
18.9  5
28.5  100
31.6  31
33.7  46
46.8  35
48.3  14
54.4  17
57.0  34
58.9  16
66.0  3

---

Entry 2:
Diffraction record for RbRh3O6. The powder XRD pattern is calculated, not measured: it uses a DFT-relaxed cell (GGA-PBE, Alexandria) and λ = 1.5418 Å (Cu Kα).
Intensities are scaled so that the largest is 100.

Crystal structure
```
20
Lattice="9.108 0.000 0.000 0.000 3.143 0.000 -2.843 0.000 8.918" Properties=species:S:1:pos:R:3 pbc="T T T"
Rb 0.015 0.786 3.574
Rb 6.250 2.357 5.344
Rh 1.362 2.357 0.425
Rh 0.084 0.786 7.120
Rh 3.268 0.786 3.062
Rh 2.998 2.357 5.856
Rh 6.182 2.357 1.797
Rh 4.904 0.786 8.492
O -2.018 0.786 8.061
O -0.249 2.357 5.917
O 1.901 0.786 1.570
O 0.250 2.357 8.400
O 2.239 2.357 3.931
O 1.976 0.786 6.585
O 4.290 2.357 2.333
O 4.027 0.786 4.987
O 6.016 0.786 0.517
O 4.365 2.357 7.347
O 6.515 0.786 3.001
O 8.283 2.357 0.857
```

Most intense lines, 5 to 70 degrees two-theta, low angle first:
2θ/deg  I (rel.)
16.3  23
25.1  29
25.4  23
29.4  17
30.9  55
34.7  17
34.9  100
38.2  20
58.7  24
61.0  17

---

Entry 3:
Diffraction record for RbRh2O. The powder XRD pattern is calculated, not measured: it uses a DFT-relaxed cell (GGA-PBE, Alexandria) and λ = 1.5418 Å (Cu Kα).
Intensities are scaled so that the largest is 100.

Crystal structure
```
8
Lattice="-3.176 3.176 4.502 3.176 -3.176 4.502 3.176 3.176 -4.502" Properties=species:S:1:pos:R:3 pbc="T T T"
Rb 3.176 1.588 1.126
Rb 0.000 1.588 3.377
Rh 0.000 0.000 0.000
Rh 1.588 1.588 -2.251
Rh 1.588 -1.588 2.251
Rh 0.000 3.176 0.000
O 3.176 -1.588 3.377
O 0.000 4.765 1.126
```

Most intense lines, 5 to 70 degrees two-theta, low angle first:
2θ/deg  I (rel.)
17.1  24
28.1  35
33.0  100
34.6  55
49.7  13
52.9  17
53.0  17
58.0  39
68.4  12
69.4  14

---

Entry 4:
Diffraction record for Rb5RhO5. The powder XRD pattern is calculated, not measured: it uses a DFT-relaxed cell (GGA-PBE, Alexandria) and λ = 1.5418 Å (Cu Kα).
Intensities are scaled so that the largest is 100.

Crystal structure
```
11
Lattice="6.156 -2.719 0.000 6.156 2.719 0.000 -2.360 0.000 7.159" Properties=species:S:1:pos:R:3 pbc="T T T"
Rb 0.000 0.000 0.000
Rb 3.520 0.000 1.458
Rb 2.519 0.000 4.714
Rb 7.434 0.000 2.445
Rb 6.433 0.000 5.701
Rh -1.180 0.000 3.580
O 0.583 0.000 2.695
O -0.292 0.000 5.356
O 4.976 0.000 3.580
O 10.245 0.000 1.804
O 9.370 0.000 4.464
```

Most intense lines, 5 to 70 degrees two-theta, low angle first:
2θ/deg  I (rel.)
12.4  19
28.2  100
28.8  84
32.9  100
33.2  47
46.6  15
47.3  30
47.5  33
55.9  32
58.2  15

---

Entry 5:
Diffraction record for Rb7RhO6. The powder XRD pattern is calculated, not measured: it uses a DFT-relaxed cell (GGA-PBE, Alexandria) and λ = 1.5418 Å (Cu Kα).
Intensities are scaled so that the largest is 100.

Crystal structure
```
28
Lattice="-3.656 6.642 7.008 3.656 -6.642 7.008 3.656 6.642 -7.008" Properties=species:S:1:pos:R:3 pbc="T T T"
Rb 1.698 0.488 0.000
Rb 4.705 3.007 -1.766
Rb 1.050 3.635 -1.766
Rb 0.000 0.000 3.504
Rb 4.705 3.007 1.766
Rb 1.050 3.635 1.766
Rb 1.698 -0.488 7.008
Rb 1.957 7.129 0.000
Rb 2.606 3.007 5.242
Rb -1.050 3.635 5.242
Rb 0.000 0.000 10.512
Rb 2.606 3.007 8.774
Rb -1.050 3.635 8.774
Rb 1.957 6.154 7.008
Rh 3.656 0.000 3.504
Rh 0.000 6.642 3.504
O 4.878 -1.318 2.854
O 3.039 -4.574 7.008
O 2.433 -1.318 4.155
O 2.433 1.318 2.854
O 3.039 4.574 0.000
O 4.878 1.318 4.155
O -1.223 5.323 2.854
O 0.616 2.067 7.008
O 1.223 5.323 4.155
O 1.223 7.960 2.854
O 0.616 11.216 0.000
O -1.223 7.960 4.155
```

Most intense lines, 5 to 70 degrees two-theta, low angle first:
2θ/deg  I (rel.)
26.1  24
26.8  33
27.5  24
28.8  100
30.2  28
30.7  43
31.8  18
37.3  17
38.8  21
51.9  16

---

Entry 6:
Diffraction record for Rb4Rh2O5. The powder XRD pattern is calculated, not measured: it uses a DFT-relaxed cell (GGA-PBE, Alexandria) and λ = 1.5418 Å (Cu Kα).
Intensities are scaled so that the largest is 100.

Crystal structure
```
11
Lattice="5.276 -3.433 0.000 5.276 3.433 0.000 -1.778 0.000 7.769" Properties=species:S:1:pos:R:3 pbc="T T T"
Rb 0.000 0.000 0.000
Rb 3.523 0.000 2.366
Rb 5.145 0.000 5.676
Rb 7.326 0.000 2.010
Rh 0.517 0.000 3.713
Rh 1.487 0.000 6.742
O 1.141 1.558 7.704
O 2.040 0.000 4.982
O 5.463 1.650 3.298
O 1.141 -1.558 7.704
O 5.463 -1.650 3.298
```

Most intense lines, 5 to 70 degrees two-theta, low angle first:
2θ/deg  I (rel.)
15.5  22
26.0  60
29.1  100
29.4  74
34.8  18
35.1  21
44.2  19
47.7  38
48.0  19
53.4  17